[1]
Simulated XRD peak list
Compound: NdAg2TeS4
Radiation: CuKα
Structure: a GGA-PBE-relaxed structure

Most intense lines, 2θ = 10–90°, sorted by position:
d_spacing	Rel. int.
3.473	1000
3.220	851
3.188	803
3.140	856
2.510	521
2.237	539

Crystal structure
Unit cell a=10.098 b=12.559 c=7.722 alpha=90.00 beta=124.33 gamma=90.00
Space group C2/c (No. 15)
Unique sites:
1 Nd 0.250 0.250 0.000 [4 per cell]
2 Ag 0.000 0.000 0.000 [4 per cell]
3 Ag 0.250 0.250 0.500 [4 per cell]
4 Te 0.000 0.500 0.000 [4 per cell]
5 S 0.046 0.289 0.554 [8 per cell]
6 S 0.198 0.029 0.882 [8 per cell]

[2]
Simulated XRD peak list
Compound: NdAgSb3
Radiation: CuKα
Structure: a GGA-PBE-relaxed structure

Most intense lines, 2θ = 10–90°, sorted by position:
d_spacing	Rel. int.
2.862	481
2.843	1000
2.703	489
2.587	585
2.572	429
2.225	490

Crystal structure
Unit cell a=13.516 b=6.267 c=6.319 alpha=90.00 beta=90.00 gamma=90.00
Space group Pbcm (No. 57)
Unique sites:
1 Nd 0.184 0.001 0.250 [4 per cell]
2 Ag 0.385 0.750 0.000 [4 per cell]
3 Sb 0.002 0.750 0.000 [4 per cell]
4 Sb 0.249 0.010 0.750 [4 per cell]
5 Sb 0.426 0.195 0.250 [4 per cell]